(1)
Structure and theoretical X-ray diffraction stick pattern of TlCu15 (a structure optimized by DFT (PBE); λ = 1.5418 Å (Cu Kα)).
No peak broadening, texture or thermal motion is included.

Principal peaks in the range 15 to 90 degrees two-theta, by angle:
2θ/deg  intensity
40.38  10
42.54  54
43.69  100
44.78  23
49.58  30
51.46  32
51.58  16
74.24  21

Cell lengths 4.3750, 34.4711, 4.3738 Å; angles 90.00, 108.63, 90.00 degrees
Fractional coordinates of all 32 atoms:
Tl: 0.0000 0.1965 0.2500
Tl: 0.0000 0.8035 0.7500
Cu: 0.0000 0.2601 0.7500
Cu: 0.0000 0.2987 0.2500
Cu: 0.0000 0.3335 0.7500
Cu: 0.0000 0.3715 0.2500
Cu: 0.0000 0.4069 0.7500
Cu: 0.0000 0.4442 0.2500
Cu: 0.0000 0.4814 0.7500
Cu: 0.0000 0.5186 0.2500
Cu: 0.0000 0.5558 0.7500
Cu: 0.0000 0.5931 0.2500
Cu: 0.0000 0.6285 0.7500
Cu: 0.0000 0.6665 0.2500
Cu: 0.0000 0.7013 0.7500
Cu: 0.0000 0.7399 0.2500
Cu: 0.5000 0.2229 0.7500
Cu: 0.5000 0.2599 0.2500
Cu: 0.5000 0.2951 0.7500
Cu: 0.5000 0.3334 0.2500
Cu: 0.5000 0.3692 0.7500
Cu: 0.5000 0.4068 0.2500
Cu: 0.5000 0.4438 0.7500
Cu: 0.5000 0.4814 0.2500
Cu: 0.5000 0.5186 0.7500
Cu: 0.5000 0.5562 0.2500
Cu: 0.5000 0.5932 0.7500
Cu: 0.5000 0.6308 0.2500
Cu: 0.5000 0.6666 0.7500
Cu: 0.5000 0.7049 0.2500
Cu: 0.5000 0.7401 0.7500
Cu: 0.5000 0.7771 0.2500

---

(2)
Structure and theoretical X-ray diffraction stick pattern of YTm4Cu5 (a structure optimized by DFT (PBE); λ = 1.5418 Å (Cu Kα)).
No peak broadening, texture or thermal motion is included.

Principal peaks in the range 15 to 90 degrees two-theta, by angle:
2θ/deg  intensity
25.95  9
26.16  17
37.19  100
37.34  50
53.83  17
66.94  17
67.24  34
79.24  10

Cell lengths 3.4060, 3.4060, 17.1646 Å; angles 90.00, 90.00, 90.00 degrees
Fractional coordinates of all 10 atoms:
Y: 0.0000 0.0000 0.0000
Tm: 0.0000 0.0000 0.2021
Tm: 0.0000 0.0000 0.4006
Tm: 0.0000 0.0000 0.5994
Tm: 0.0000 0.0000 0.7979
Cu: 0.5000 0.5000 0.1046
Cu: 0.5000 0.5000 0.3011
Cu: 0.5000 0.5000 0.5000
Cu: 0.5000 0.5000 0.6989
Cu: 0.5000 0.5000 0.8954

---

(3)
Structure and theoretical X-ray diffraction stick pattern of TmZrCu6 (a structure optimized by DFT (PBE); λ = 1.5418 Å (Cu Kα)).
No peak broadening, texture or thermal motion is included.

Principal peaks in the range 15 to 90 degrees two-theta, by angle:
2θ/deg  intensity
31.77  14
36.89  27
40.35  40
42.24  100
43.49  47
55.81  16
74.65  17
82.42  15

Cell lengths 4.4709, 5.6986, 4.7025 Å; angles 90.00, 90.00, 90.00 degrees
Fractional coordinates of all 8 atoms:
Tm: 0.0000 0.0000 0.0000
Zr: 0.5000 0.5000 0.6966
Cu: 0.0000 0.2681 0.5047
Cu: 0.0000 0.5000 0.0387
Cu: 0.0000 0.7319 0.5047
Cu: 0.5000 0.0000 0.6271
Cu: 0.5000 0.2605 0.1947
Cu: 0.5000 0.7395 0.1947

---

(4)
Structure and theoretical X-ray diffraction stick pattern of YCu (a structure optimized by DFT (PBE); λ = 1.5418 Å (Cu Kα)).
No peak broadening, texture or thermal motion is included.

Principal peaks in the range 15 to 90 degrees two-theta, by angle:
2θ/deg  intensity
28.80  45
32.20  82
35.56  61
36.35  100
40.30  59
41.05  95
41.70  38
54.82  34

Cell lengths 7.0927, 4.4758, 5.4029 Å; angles 90.00, 90.00, 90.00 degrees
Fractional coordinates of all 8 atoms:
Y: 0.1822 0.2500 0.1357
Y: 0.3178 0.7500 0.6357
Y: 0.6822 0.2500 0.3643
Y: 0.8178 0.7500 0.8643
Cu: 0.0345 0.2500 0.6273
Cu: 0.4655 0.7500 0.1273
Cu: 0.5345 0.2500 0.8727
Cu: 0.9655 0.7500 0.3727

---

(5)
Structure and theoretical X-ray diffraction stick pattern of YZr2Cu (a structure optimized by DFT (PBE); λ = 1.5418 Å (Cu Kα)).
No peak broadening, texture or thermal motion is included.

Principal peaks in the range 15 to 90 degrees two-theta, by angle:
2θ/deg  intensity
21.83  1
25.25  1
36.02  100
42.51  1
51.85  17
64.75  34
76.39  10
87.47  15

Cell lengths 4.9872, 4.9872, 4.9872 Å; angles 60.00, 60.00, 60.00 degrees
Fractional coordinates of all 4 atoms:
Y: 0.0000 0.0000 0.0000
Zr: 0.5000 0.5000 0.5000
Zr: 0.7500 0.7500 0.7500
Cu: 0.2500 0.2500 0.2500

---

(6)
Structure and theoretical X-ray diffraction stick pattern of ZnCu15 (a structure optimized by DFT (PBE); λ = 1.5418 Å (Cu Kα)).
No peak broadening, texture or thermal motion is included.

Principal peaks in the range 15 to 90 degrees two-theta, by angle:
2θ/deg  intensity
42.77  93
43.51  100
43.59  51
45.06  52
49.83  59
51.08  46
51.87  33
74.13  41

Cell lengths 7.1563, 2.5565, 34.0676 Å; angles 90.00, 90.00, 90.00 degrees
Fractional coordinates of all 32 atoms:
Zn: 0.1250 0.2500 0.2180
Zn: 0.8750 0.7500 0.7820
Cu: 0.1250 0.2500 0.2950
Cu: 0.1250 0.2500 0.3697
Cu: 0.1251 0.2500 0.4442
Cu: 0.1251 0.2500 0.5189
Cu: 0.1251 0.2500 0.5937
Cu: 0.1256 0.2500 0.6688
Cu: 0.1267 0.2500 0.7451
Cu: 0.3751 0.7500 0.4063
Cu: 0.3751 0.7500 0.4812
Cu: 0.3751 0.7500 0.5560
Cu: 0.3750 0.7500 0.6308
Cu: 0.3750 0.7500 0.7055
Cu: 0.3750 0.7500 0.7796
Cu: 0.3756 0.7500 0.3312
Cu: 0.3768 0.7500 0.2548
Cu: 0.6232 0.2500 0.7452
Cu: 0.6244 0.2500 0.6688
Cu: 0.6250 0.2500 0.2204
Cu: 0.6250 0.2500 0.2945
Cu: 0.6250 0.2500 0.3692
Cu: 0.6249 0.2500 0.4440
Cu: 0.6249 0.2500 0.5188
Cu: 0.6249 0.2500 0.5937
Cu: 0.8733 0.7500 0.2549
Cu: 0.8744 0.7500 0.3312
Cu: 0.8749 0.7500 0.4063
Cu: 0.8749 0.7500 0.4811
Cu: 0.8749 0.7500 0.5558
Cu: 0.8750 0.7500 0.6303
Cu: 0.8750 0.7500 0.7050

---

(7)
Structure and theoretical X-ray diffraction stick pattern of ZnCu (a structure optimized by DFT (PBE); λ = 1.5418 Å (Cu Kα)).
No peak broadening, texture or thermal motion is included.

Principal peaks in the range 15 to 90 degrees two-theta, by angle:
2θ/deg  intensity
39.55  25
42.56  27
45.15  100
59.49  14
71.78  10
79.73  17
87.15  18
88.91  8

Cell lengths 4.2485, 5.2663, 4.5533 Å; angles 90.00, 90.00, 90.00 degrees
Fractional coordinates of all 8 atoms:
Zn: 0.0000 0.0000 0.0000
Zn: 0.0000 0.2589 0.4919
Zn: 0.0000 0.7411 0.4919
Zn: 0.5000 0.0000 0.6626
Cu: 0.0000 0.5000 0.9946
Cu: 0.5000 0.2538 0.1603
Cu: 0.5000 0.5000 0.6640
Cu: 0.5000 0.7462 0.1603

---

(8)
Structure and theoretical X-ray diffraction stick pattern of Zn4Cu3 (a structure optimized by DFT (PBE); λ = 1.5418 Å (Cu Kα)).
No peak broadening, texture or thermal motion is included.

Principal peaks in the range 15 to 90 degrees two-theta, by angle:
2θ/deg  intensity
39.30  25
42.35  27
44.88  100
59.15  14
71.25  15
79.25  17
86.53  17
88.28  12

Cell lengths 7.0036, 7.0036, 4.2681 Å; angles 90.00, 90.00, 120.00 degrees
Fractional coordinates of all 14 atoms:
Zn: 0.0440 0.2447 0.2500
Zn: 0.2007 0.9560 0.2500
Zn: 0.2447 0.2007 0.7500
Zn: 0.3333 0.6667 0.2500
Zn: 0.6667 0.3333 0.7500
Zn: 0.7553 0.7993 0.2500
Zn: 0.7993 0.0440 0.7500
Zn: 0.9560 0.7553 0.7500
Cu: 0.0966 0.4758 0.7500
Cu: 0.3792 0.9034 0.7500
Cu: 0.4758 0.3792 0.2500
Cu: 0.5242 0.6208 0.7500
Cu: 0.6208 0.0966 0.2500
Cu: 0.9034 0.5242 0.2500

---

(9)
Structure and theoretical X-ray diffraction stick pattern of ZnCu15 (a structure optimized by DFT (PBE); λ = 1.5418 Å (Cu Kα)).
No peak broadening, texture or thermal motion is included.

Principal peaks in the range 15 to 90 degrees two-theta, by angle:
2θ/deg  intensity
42.58  66
43.87  100
49.72  18
50.64  51
73.69  20
74.45  9
75.56  9
89.72  14

Cell lengths 5.1004, 2.5491, 42.1750 Å; angles 90.00, 90.00, 90.00 degrees
Fractional coordinates of all 32 atoms:
Zn: 0.1250 0.2500 0.1765
Zn: 0.8750 0.7500 0.8235
Cu: 0.1250 0.2500 0.2639
Cu: 0.1250 0.2500 0.3499
Cu: 0.1250 0.2500 0.4357
Cu: 0.1250 0.2500 0.5214
Cu: 0.1250 0.2500 0.6072
Cu: 0.1248 0.2500 0.6930
Cu: 0.1282 0.2500 0.7787
Cu: 0.3748 0.7500 0.3070
Cu: 0.3750 0.7500 0.3928
Cu: 0.3750 0.7500 0.4785
Cu: 0.3750 0.7500 0.5643
Cu: 0.3750 0.7500 0.6502
Cu: 0.3750 0.7500 0.7357
Cu: 0.3749 0.7500 0.8218
Cu: 0.3782 0.7500 0.2213
Cu: 0.6218 0.2500 0.7787
Cu: 0.6251 0.2500 0.1782
Cu: 0.6250 0.2500 0.2643
Cu: 0.6250 0.2500 0.3498
Cu: 0.6250 0.2500 0.4357
Cu: 0.6250 0.2500 0.5215
Cu: 0.6250 0.2500 0.6072
Cu: 0.6252 0.2500 0.6930
Cu: 0.8718 0.7500 0.2213
Cu: 0.8752 0.7500 0.3070
Cu: 0.8750 0.7500 0.3928
Cu: 0.8750 0.7500 0.4786
Cu: 0.8750 0.7500 0.5643
Cu: 0.8750 0.7500 0.6501
Cu: 0.8750 0.7500 0.7361

---

(10)
Structure and theoretical X-ray diffraction stick pattern of ZnCu (a structure optimized by DFT (PBE); λ = 1.5418 Å (Cu Kα)).
No peak broadening, texture or thermal motion is included.

Principal peaks in the range 15 to 90 degrees two-theta, by angle:
2θ/deg  intensity
39.70  25
42.41  41
45.04  52
45.26  100
59.49  14
71.74  15
79.59  17
87.04  18

Cell lengths 4.2628, 10.4652, 4.5664 Å; angles 90.00, 90.00, 90.00 degrees
Fractional coordinates of all 16 atoms:
Zn: 0.2500 0.9998 0.1678
Zn: 0.2500 0.1276 0.6625
Zn: 0.2500 0.3724 0.6625
Zn: 0.2500 0.5002 0.1678
Zn: 0.7500 0.0002 0.8322
Zn: 0.7500 0.4998 0.8322
Zn: 0.7500 0.6276 0.3375
Zn: 0.7500 0.8724 0.3375
Cu: 0.2500 0.2500 0.1650
Cu: 0.2500 0.6273 0.6681
Cu: 0.2500 0.7500 0.1649
Cu: 0.2500 0.8727 0.6681
Cu: 0.7500 0.1273 0.3319
Cu: 0.7500 0.2500 0.8351
Cu: 0.7500 0.3727 0.3319
Cu: 0.7500 0.7500 0.8350

---

(11)
Structure and theoretical X-ray diffraction stick pattern of ZnCu15 (a structure optimized by DFT (PBE); λ = 1.5418 Å (Cu Kα)).
No peak broadening, texture or thermal motion is included.

Principal peaks in the range 15 to 90 degrees two-theta, by angle:
2θ/deg  intensity
42.63  67
43.92  100
49.74  18
50.72  51
73.77  20
74.55  15
75.63  9
89.87  14

Cell lengths 3.6007, 3.6009, 42.1594 Å; angles 90.00, 90.00, 90.00 degrees
Fractional coordinates of all 32 atoms:
Zn: 0.2500 0.0000 0.1761
Zn: 0.7500 0.0000 0.8239
Cu: 0.2500 0.0000 0.2643
Cu: 0.2500 0.0000 0.3499
Cu: 0.2500 0.0000 0.4357
Cu: 0.2500 0.0000 0.5215
Cu: 0.2500 0.0000 0.6072
Cu: 0.2500 0.0000 0.6930
Cu: 0.2500 0.0000 0.7787
Cu: 0.2500 0.5000 0.2213
Cu: 0.2500 0.5000 0.3070
Cu: 0.2500 0.5000 0.3928
Cu: 0.2500 0.5000 0.4785
Cu: 0.2500 0.5000 0.5643
Cu: 0.2500 0.5000 0.6502
Cu: 0.2500 0.5000 0.7361
Cu: 0.2500 0.5000 0.8218
Cu: 0.7500 0.0000 0.2213
Cu: 0.7500 0.0000 0.3070
Cu: 0.7500 0.0000 0.3928
Cu: 0.7500 0.0000 0.4785
Cu: 0.7500 0.0000 0.5643
Cu: 0.7500 0.0000 0.6501
Cu: 0.7500 0.0000 0.7357
Cu: 0.7500 0.5000 0.1782
Cu: 0.7500 0.5000 0.2639
Cu: 0.7500 0.5000 0.3498
Cu: 0.7500 0.5000 0.4357
Cu: 0.7500 0.5000 0.5215
Cu: 0.7500 0.5000 0.6072
Cu: 0.7500 0.5000 0.6930
Cu: 0.7500 0.5000 0.7787